For Fe5Co24, the GGA-PBE geometry in Alexandria gives the calculated powder X-ray diffraction pattern in this record (λ = 1.5418 Å (Cu Kα)).
Peak positions follow from Bragg's law for the DFT cell and can differ from measured ones.

abc: 7.4956 7.4956 7.4956
angles: 109.47 109.47 109.47
Positions (direct):
Fe1 0.0000 0.0000 0.0000
Fe2 0.0000 0.0000 0.6363
Fe3 0.0000 0.6363 0.0000
Fe4 0.3637 0.3637 0.3637
Fe5 0.6363 0.0000 0.0000
Co1 0.0000 0.1911 0.3734
Co2 0.0000 0.3734 0.1911
Co3 0.0000 0.3979 0.6827
Co4 0.0000 0.6827 0.3979
Co5 0.1823 0.8089 0.8089
Co6 0.1911 0.0000 0.3734
Co7 0.1911 0.3734 0.0000
Co8 0.2848 0.6021 0.6021
Co9 0.3173 0.3173 0.7152
Co10 0.3173 0.7152 0.3173
Co11 0.3734 0.0000 0.1911
Co12 0.3734 0.1911 0.0000
Co13 0.3979 0.0000 0.6827
Co14 0.3979 0.6827 0.0000
Co15 0.6021 0.2848 0.6021
Co16 0.6021 0.6021 0.2848
Co17 0.6266 0.6266 0.8177
Co18 0.6266 0.8177 0.6266
Co19 0.6827 0.0000 0.3979
Co20 0.6827 0.3979 0.0000
Co21 0.7152 0.3173 0.3173
Co22 0.8089 0.1823 0.8089
Co23 0.8089 0.8089 0.1823
Co24 0.8177 0.6266 0.6266

The 8 most intense peaks (10 to 90 degrees two-theta), sorted by position:
41.74°, I 6; 44.41°, I 100; 49.39°, I 27; 51.74°, I 9; 54.02°, I 15; 76.21°, I 5; 78.07°, I 8; 81.77°, I 22

***

For Ce3Nd2Tc2, the GGA-PBE geometry in Alexandria gives the calculated powder X-ray diffraction pattern in this record (λ = 1.5418 Å (Cu Kα)).
Peak positions follow from Bragg's law for the DFT cell and can differ from measured ones.

abc: 6.2795 6.2795 8.6111
angles: 110.81 110.81 35.53
Positions (direct):
Ce1 0.0000 0.0000 0.0000
Ce2 0.1176 0.1176 0.4279
Ce3 0.8824 0.8824 0.5721
Nd1 0.3383 0.3383 0.1911
Nd2 0.6617 0.6617 0.8089
Tc1 0.3623 0.3623 0.7641
Tc2 0.6377 0.6377 0.2359

The 8 most intense peaks (10 to 90 degrees two-theta), sorted by position:
29.90°, I 52; 31.25°, I 100; 32.13°, I 76; 32.48°, I 66; 33.67°, I 70; 35.14°, I 80; 35.42°, I 77; 59.23°, I 52

***

For Cs2In2Bi2H, the GGA-PBE geometry in Alexandria gives the calculated powder X-ray diffraction pattern in this record (λ = 1.5418 Å (Cu Kα)).
Peak positions follow from Bragg's law for the DFT cell and can differ from measured ones.

abc: 7.4493 7.4493 9.0639
angles: 123.16 123.16 38.97
Positions (direct):
Cs1 0.0560 0.0560 0.3001
Cs2 0.9440 0.9440 0.6999
In1 0.3220 0.3220 0.9298
In2 0.6780 0.6780 0.0702
Bi1 0.3225 0.3225 0.2724
Bi2 0.6775 0.6775 0.7276
H1 0.5000 0.5000 0.0000

The 8 most intense peaks (10 to 90 degrees two-theta), sorted by position:
12.96°, I 32; 25.23°, I 66; 26.08°, I 49; 27.35°, I 35; 28.25°, I 34; 29.53°, I 100; 31.31°, I 44; 36.15°, I 42

***

For Ho4ZnCu2, the GGA-PBE geometry in Alexandria gives the calculated powder X-ray diffraction pattern in this record (λ = 1.5418 Å (Cu Kα)).
Peak positions follow from Bragg's law for the DFT cell and can differ from measured ones.

abc: 6.6668 6.6909 8.4601
angles: 71.01 76.49 68.18
Positions (direct):
Ho1 0.0000 0.0000 0.0000
Ho2 0.0190 0.5507 0.8644
Ho3 0.0840 0.8104 0.4170
Ho4 0.4804 0.2210 0.4044
Ho5 0.5031 0.5083 0.9819
Ho6 0.5231 0.0711 0.8400
Ho7 0.6281 0.7373 0.2586
Ho8 0.9197 0.3053 0.5570
Zn1 0.2657 0.8891 0.6830
Zn2 0.6778 0.7448 0.6232
Cu1 0.1026 0.5284 0.2128
Cu2 0.2788 0.1520 0.1484
Cu3 0.4394 0.5101 0.6167
Cu4 0.8708 0.2977 0.2096

The 8 most intense peaks (10 to 90 degrees two-theta), sorted by position:
28.95°, I 41; 29.10°, I 41; 32.37°, I 100; 32.68°, I 64; 33.11°, I 31; 34.58°, I 43; 34.70°, I 43; 40.05°, I 44